Diffraction record for Ag2Mo2As. The powder diffraction line list is calculated, not measured: it uses a DFT-relaxed cell (GGA-PBE, Alexandria) and Cu Kα X-rays.

Principal peaks in the range 10 to 90 degrees two-theta, in order of rising 2θ:
d_spacing  Position (°2θ)  intensity
4.476  19.84  6
2.602  34.47  19
2.407  37.37  100
2.285  39.43  27
2.002  45.31  25
1.639  56.12  4
1.506  61.59  20
1.455  63.98  7
1.342  70.15  15
1.138  85.25  10

Structure:
```
Ag2Mo2As
1.0
6.3297 0.0000 0.0000
0.0000 6.3297 0.0000
0.0000 0.0000 4.5708
Ag Mo As
4 4 2
direct
0.1660 0.3340 0.0000 Ag
0.3340 0.8340 0.0000 Ag
0.6660 0.1660 0.0000 Ag
0.8340 0.6660 0.0000 Ag
0.1319 0.6319 0.5000 Mo
0.3681 0.1319 0.5000 Mo
0.6319 0.8681 0.5000 Mo
0.8681 0.3681 0.5000 Mo
0.0000 0.0000 0.5000 As
0.5000 0.5000 0.5000 As
```